# Li4Mn3V5O16
Theoretical XRD peak list, CuKα. Input: a DFT-relaxed cell (GGA+U, the Materials Project).
Neutral-atom scattering factors, no anomalous dispersion.

Most intense lines, 2θ from 5° to 70°, sorted by position:
Position (°2θ), intensity
18.6, 1000
19.1, 288
19.3, 327
19.7, 556
19.9, 296
20.1, 275
35.4, 305
36.2, 399
45.8, 519
61.1, 372

Structure:
a b c (Å): 5.843 5.897 9.558
angles (deg): 91.59 90.50 117.76
Atoms (fractional coordinates):
Li 0.000 0.000 0.000
Li 0.004 0.990 0.500
Li 0.340 0.679 0.097
Li 0.670 0.329 0.595
Mn 0.171 0.334 0.781
Mn 0.343 0.170 0.279
Mn 0.833 0.164 0.281
V 0.173 0.824 0.776
V 0.335 0.651 0.506
V 0.659 0.829 0.781
V 0.668 0.344 0.005
V 0.838 0.656 0.278
O 0.002 0.992 0.188
O 0.005 0.995 0.688
O 0.041 0.514 0.653
O 0.159 0.793 0.402
O 0.166 0.312 0.401
O 0.320 0.665 0.889
O 0.326 0.166 0.898
O 0.468 0.957 0.651
O 0.493 0.532 0.641
O 0.527 0.048 0.151
O 0.536 0.496 0.138
O 0.667 0.795 0.393
O 0.672 0.333 0.384
O 0.806 0.157 0.904
O 0.833 0.668 0.890
O 0.968 0.502 0.149

---

# Li2MnV5O12
Theoretical XRD peak list, CuKα. Input: a DFT-relaxed cell (GGA+U, the Materials Project).
Neutral-atom scattering factors, no anomalous dispersion.

Most intense lines, 2θ from 5° to 70°, sorted by position:
Position (°2θ), intensity
18.4, 249
19.3, 326
23.4, 278
25.3, 262
27.9, 1000
29.4, 649
32.8, 419
34.7, 263
51.2, 232
53.6, 219

Structure:
a b c (Å): 6.901 6.901 5.815
angles (deg): 104.90 104.90 83.57
Atoms (fractional coordinates):
Li 0.000 0.000 0.000
Li 0.508 0.492 0.500
Mn 0.669 0.331 0.000
V 0.147 0.449 0.014
V 0.359 0.050 0.482
V 0.551 0.853 0.986
V 0.841 0.159 0.500
V 0.950 0.641 0.518
O 0.107 0.144 0.425
O 0.115 0.616 0.816
O 0.117 0.594 0.308
O 0.384 0.885 0.184
O 0.385 0.339 0.076
O 0.406 0.883 0.692
O 0.563 0.223 0.592
O 0.661 0.615 0.924
O 0.736 0.042 0.113
O 0.777 0.437 0.408
O 0.856 0.893 0.575
O 0.958 0.264 0.887

---

# Li4Mn5V3O16
Theoretical XRD peak list, CuKα. Input: a DFT-relaxed cell (GGA+U, the Materials Project).
Neutral-atom scattering factors, no anomalous dispersion.

Most intense lines, 2θ from 5° to 70°, sorted by position:
Position (°2θ), intensity
18.4, 1000
19.2, 224
19.3, 217
19.5, 287
19.7, 287
19.9, 566
25.1, 225
35.4, 368
35.5, 462
44.8, 332

Structure:
a b c (Å): 5.798 5.964 9.656
angles (deg): 89.82 88.65 61.64
Atoms (fractional coordinates):
Li 0.000 0.000 0.000
Li 0.011 0.950 0.500
Li 0.353 0.305 0.598
Li 0.685 0.636 0.099
Mn 0.185 0.615 0.280
Mn 0.340 0.326 0.007
Mn 0.683 0.128 0.280
Mn 0.687 0.621 0.507
Mn 0.844 0.818 0.782
V 0.200 0.110 0.282
V 0.348 0.825 0.781
V 0.842 0.327 0.779
O 0.008 0.987 0.684
O 0.025 0.940 0.185
O 0.058 0.437 0.158
O 0.170 0.683 0.889
O 0.174 0.157 0.890
O 0.339 0.791 0.391
O 0.345 0.301 0.385
O 0.485 0.458 0.151
O 0.496 0.994 0.167
O 0.525 0.504 0.656
O 0.527 0.943 0.663
O 0.675 0.184 0.896
O 0.677 0.655 0.888
O 0.861 0.775 0.396
O 0.871 0.265 0.386
O 0.978 0.473 0.652

---

# Li2MnV3O8
Theoretical XRD peak list, CuKα. Input: a DFT-relaxed cell (GGA+U, the Materials Project).
Neutral-atom scattering factors, no anomalous dispersion.

Most intense lines, 2θ from 5° to 70°, sorted by position:
Position (°2θ), intensity
18.1, 239
18.4, 1000
35.2, 162
35.5, 288
35.6, 122
43.1, 718
57.0, 129
62.3, 219
62.9, 208
66.1, 75

Structure:
a b c (Å): 5.964 5.964 5.964
angles (deg): 59.36 59.36 59.36
Atoms (fractional coordinates):
Li 0.128 0.128 0.128
Li 0.872 0.872 0.872
Mn 0.500 0.500 0.500
V 0.000 0.500 0.500
V 0.500 0.000 0.500
V 0.500 0.500 0.000
O 0.264 0.264 0.264
O 0.267 0.267 0.714
O 0.267 0.714 0.267
O 0.286 0.733 0.733
O 0.714 0.267 0.267
O 0.733 0.286 0.733
O 0.733 0.733 0.286
O 0.736 0.736 0.736

---

# Li2MnV3O8
Theoretical XRD peak list, CuKα. Input: a DFT-relaxed cell (GGA+U, the Materials Project).
Neutral-atom scattering factors, no anomalous dispersion.

Most intense lines, 2θ from 5° to 70°, sorted by position:
Position (°2θ), intensity
18.1, 1000
34.4, 167
35.0, 158
36.0, 138
41.5, 212
42.4, 199
44.2, 170
60.8, 123
62.2, 112
62.9, 109

Structure:
a b c (Å): 8.191 8.524 8.706
angles (deg): 90.00 90.00 90.00
Atoms (fractional coordinates):
Li 0.005 0.002 0.000
Li 0.246 0.247 0.248
Li 0.254 0.753 0.748
Li 0.495 0.998 0.500
Li 0.505 0.498 0.000
Li 0.746 0.253 0.752
Li 0.754 0.747 0.252
Li 0.995 0.502 0.500
Mn 0.127 0.875 0.377
Mn 0.373 0.125 0.877
Mn 0.627 0.625 0.623
Mn 0.873 0.375 0.123
V 0.123 0.127 0.623
V 0.124 0.376 0.869
V 0.127 0.623 0.120
V 0.373 0.377 0.620
V 0.376 0.624 0.369
V 0.377 0.873 0.123
V 0.623 0.373 0.377
V 0.624 0.124 0.131
V 0.627 0.877 0.880
V 0.873 0.123 0.380
V 0.876 0.876 0.631
V 0.877 0.627 0.877
O 0.108 0.892 0.622
O 0.111 0.613 0.879
O 0.112 0.387 0.104
O 0.115 0.117 0.396
O 0.127 0.362 0.639
O 0.135 0.142 0.860
O 0.145 0.631 0.363
O 0.148 0.862 0.131
O 0.352 0.138 0.631
O 0.355 0.369 0.863
O 0.365 0.858 0.360
O 0.373 0.638 0.139
O 0.385 0.883 0.896
O 0.388 0.613 0.604
O 0.389 0.387 0.379
O 0.392 0.108 0.122
O 0.608 0.608 0.378
O 0.611 0.887 0.121
O 0.612 0.113 0.896
O 0.615 0.383 0.604
O 0.627 0.138 0.361
O 0.635 0.358 0.140
O 0.645 0.869 0.637
O 0.648 0.638 0.869
O 0.852 0.362 0.369
O 0.855 0.131 0.137
O 0.865 0.642 0.640
O 0.873 0.862 0.861
O 0.885 0.617 0.104
O 0.888 0.887 0.396
O 0.889 0.113 0.621
O 0.892 0.392 0.878

---

# Li2MnV3O8
Theoretical XRD peak list, CuKα. Input: a DFT-relaxed cell (GGA+U, the Materials Project).
Neutral-atom scattering factors, no anomalous dispersion.

Most intense lines, 2θ from 5° to 70°, sorted by position:
Position (°2θ), intensity
18.2, 1000
34.5, 162
35.0, 157
36.0, 141
36.8, 78
41.7, 207
42.4, 199
44.1, 172
55.2, 66
60.9, 121

Structure:
a b c (Å): 8.207 8.532 8.669
angles (deg): 90.00 89.87 89.92
Atoms (fractional coordinates):
Li 0.000 0.000 0.000
Li 0.006 0.499 0.499
Li 0.249 0.748 0.750
Li 0.257 0.250 0.248
Li 0.499 0.497 0.999
Li 0.506 0.998 0.501
Li 0.749 0.749 0.249
Li 0.756 0.247 0.750
Mn 0.130 0.370 0.878
Mn 0.376 0.624 0.374
Mn 0.629 0.124 0.122
Mn 0.877 0.873 0.623
V 0.125 0.873 0.366
V 0.129 0.121 0.620
V 0.130 0.626 0.116
V 0.378 0.874 0.121
V 0.379 0.372 0.624
V 0.380 0.122 0.869
V 0.623 0.624 0.631
V 0.627 0.870 0.878
V 0.629 0.376 0.379
V 0.871 0.621 0.881
V 0.878 0.125 0.375
V 0.878 0.375 0.129
O 0.110 0.387 0.121
O 0.111 0.110 0.378
O 0.113 0.885 0.603
O 0.123 0.619 0.902
O 0.133 0.858 0.136
O 0.138 0.637 0.351
O 0.147 0.361 0.635
O 0.149 0.126 0.863
O 0.356 0.867 0.363
O 0.366 0.639 0.130
O 0.367 0.356 0.859
O 0.373 0.139 0.638
O 0.386 0.384 0.396
O 0.392 0.111 0.104
O 0.393 0.608 0.623
O 0.393 0.887 0.878
O 0.610 0.108 0.876
O 0.611 0.387 0.621
O 0.614 0.612 0.396
O 0.619 0.883 0.105
O 0.623 0.639 0.860
O 0.639 0.856 0.640
O 0.647 0.366 0.136
O 0.650 0.138 0.370
O 0.855 0.861 0.871
O 0.857 0.629 0.642
O 0.866 0.140 0.140
O 0.874 0.360 0.359
O 0.885 0.610 0.113
O 0.886 0.112 0.604
O 0.894 0.387 0.891
O 0.895 0.889 0.375

---

# Li4MnV3O12
Theoretical XRD peak list, CuKα. Input: a DFT-relaxed cell (GGA+U, the Materials Project).
Neutral-atom scattering factors, no anomalous dispersion.

Most intense lines, 2θ from 5° to 70°, sorted by position:
Position (°2θ), intensity
21.0, 1000
33.4, 196
33.7, 186
41.5, 66
41.8, 69
42.3, 68
42.7, 81
52.9, 158
53.3, 103
66.3, 78

Structure:
a b c (Å): 4.914 8.320 4.927
angles (deg): 90.00 90.74 90.00
Atoms (fractional coordinates):
Li 0.000 0.000 0.000
Li 0.000 0.115 0.500
Li 0.500 0.498 0.500
Li 0.500 0.623 0.000
Mn 0.000 0.714 0.500
V 0.000 0.411 0.000
V 0.500 0.224 0.000
V 0.500 0.917 0.500
O 0.141 0.548 0.759
O 0.179 0.879 0.700
O 0.180 0.221 0.809
O 0.326 0.379 0.205
O 0.339 0.719 0.321
O 0.360 0.049 0.251
O 0.640 0.049 0.749
O 0.661 0.719 0.679
O 0.674 0.379 0.795
O 0.820 0.221 0.191
O 0.821 0.879 0.300
O 0.859 0.548 0.241